No. 1
For Li2VBO4, the GGA+U geometry in the Materials Project gives the simulated PXRD pattern in this record (λ = 1.5418 Å (Cu Kα)).
Peak positions follow from Bragg's law for the DFT cell and can differ from measured ones.

Peak list (10 most intense, 2θ = 10–90°, by intensity)
(0 1 1), 3.852 Å, I 100
(2 0 1), 3.954 Å, I 95
(2 0 2), 2.658 Å, I 54
(0 2 0), 2.454 Å, I 52
(4 0 0), 2.561 Å, I 44
(1 1 2), 2.544 Å, I 27
(3 1 2), 2.083 Å, I 27
(1 1 1), 3.606 Å, I 25
(6 0 2), 1.497 Å, I 24
(2 1 1), 3.079 Å, I 22

Crystal structure
a b c (Å): 10.2439 4.9077 6.2184
angles (deg): 90.00 90.00 90.00
Element x y z (fractional)
1 Li 0.0772 0.1955 0.0000
2 Li 0.1573 0.6858 0.2487
3 Li 0.3427 0.1858 0.7487
4 Li 0.4228 0.6955 0.5000
5 Li 0.5772 0.3045 0.0000
6 Li 0.6573 0.8142 0.2487
7 Li 0.8427 0.3142 0.7487
8 Li 0.9228 0.8045 0.5000
9 V 0.1641 0.6814 0.7585
10 V 0.3359 0.1814 0.2585
11 V 0.6641 0.8186 0.7585
12 V 0.8359 0.3186 0.2585
13 B 0.0911 0.1765 0.4988
14 B 0.4089 0.6765 0.9988
15 B 0.5911 0.3235 0.4988
16 B 0.9089 0.8235 0.9988
17 O 0.0525 0.7673 0.9954
18 O 0.1095 0.8743 0.5044
19 O 0.1521 0.2932 0.6984
20 O 0.1545 0.2870 0.2988
21 O 0.3455 0.7870 0.7988
22 O 0.3479 0.7932 0.1984
23 O 0.3905 0.3743 0.0044
24 O 0.4475 0.2673 0.4954
25 O 0.5525 0.7327 0.9954
26 O 0.6095 0.6257 0.5044
27 O 0.6521 0.2068 0.6984
28 O 0.6545 0.2130 0.2988
29 O 0.8455 0.7130 0.7988
30 O 0.8479 0.7068 0.1984
31 O 0.8905 0.1257 0.0044
32 O 0.9475 0.2327 0.4954

No. 2
For Li3VB4O9, the GGA+U geometry in the Materials Project gives the simulated PXRD pattern in this record (λ = 1.5418 Å (Cu Kα)).
Peak positions follow from Bragg's law for the DFT cell and can differ from measured ones.

Peak list (10 most intense, 2θ = 10–90°, by intensity)
(1 1 1), 3.559 Å, I 100
(1 3 0), 2.594 Å, I 92
(0 2 0), 4.381 Å, I 72
(1 0 -1), 4.833 Å, I 67
(1 2 0), 3.462 Å, I 45
(0 0 3), 2.197 Å, I 44
(1 0 1), 3.895 Å, I 38
(1 2 -2), 2.561 Å, I 30
(1 1 -1), 4.232 Å, I 29
(2 4 1), 1.622 Å, I 29

Crystal structure
a b c (Å): 5.7835 8.7615 6.7498
angles (deg): 90.00 102.41 90.00
Element x y z (fractional)
1 Li 0.0818 0.2500 0.0241
2 Li 0.2637 0.5658 0.3355
3 Li 0.2637 0.9342 0.3355
4 Li 0.7363 0.0658 0.6645
5 Li 0.7363 0.4342 0.6645
6 Li 0.9182 0.7500 0.9759
7 V 0.2441 0.2500 0.6153
8 V 0.7559 0.7500 0.3847
9 B 0.2247 0.5477 0.7798
10 B 0.2247 0.9523 0.7798
11 B 0.3672 0.7500 0.0372
12 B 0.4809 0.2500 0.2676
13 B 0.5191 0.7500 0.7324
14 B 0.6328 0.2500 0.9628
15 B 0.7753 0.0477 0.2202
16 B 0.7753 0.4523 0.2202
17 O 0.0882 0.0788 0.7135
18 O 0.0882 0.4212 0.7135
19 O 0.2122 0.6133 0.9629
20 O 0.2122 0.8867 0.9629
21 O 0.2618 0.2500 0.3375
22 O 0.3702 0.6076 0.6573
23 O 0.3702 0.8924 0.6573
24 O 0.4202 0.7500 0.2567
25 O 0.4237 0.2500 0.0470
26 O 0.5763 0.7500 0.9530
27 O 0.5798 0.2500 0.7433
28 O 0.6298 0.1076 0.3427
29 O 0.6298 0.3924 0.3427
30 O 0.7382 0.7500 0.6625
31 O 0.7878 0.1133 0.0371
32 O 0.7878 0.3867 0.0371
33 O 0.9118 0.5788 0.2865
34 O 0.9118 0.9212 0.2865

No. 3
For LiVBO4, the GGA+U geometry in the Materials Project gives the simulated PXRD pattern in this record (λ = 1.5418 Å (Cu Kα)).
Peak positions follow from Bragg's law for the DFT cell and can differ from measured ones.

Peak list (10 most intense, 2θ = 10–90°, by intensity)
(2 0 1), 4.092 Å, I 100
(2 1 0), 2.569 Å, I 86
(0 0 2), 4.708 Å, I 70
(4 1 3), 1.585 Å, I 32
(4 1 1), 1.801 Å, I 30
(1 1 1), 2.811 Å, I 29
(1 0 1), 6.539 Å, I 29
(2 0 3), 2.582 Å, I 28
(2 1 2), 2.255 Å, I 25
(2 1 1), 2.478 Å, I 21

Crystal structure
a b c (Å): 9.0879 3.1140 9.4150
angles (deg): 90.00 90.00 90.00
Element x y z (fractional)
1 Li 0.1220 0.2500 0.0651
2 Li 0.3780 0.7500 0.5651
3 Li 0.6220 0.2500 0.4349
4 Li 0.8780 0.7500 0.9349
5 V 0.1076 0.2500 0.7091
6 V 0.3924 0.7500 0.2091
7 V 0.6076 0.2500 0.7909
8 V 0.8924 0.7500 0.2909
9 B 0.1650 0.2500 0.3854
10 B 0.3350 0.7500 0.8854
11 B 0.6650 0.2500 0.1146
12 B 0.8350 0.7500 0.6146
13 O 0.0113 0.2500 0.3676
14 O 0.0252 0.2500 0.8693
15 O 0.2256 0.2500 0.5155
16 O 0.2487 0.2500 0.2587
17 O 0.2513 0.7500 0.7587
18 O 0.2744 0.7500 0.0155
19 O 0.4748 0.7500 0.3693
20 O 0.4887 0.7500 0.8676
21 O 0.5113 0.2500 0.1324
22 O 0.5252 0.2500 0.6307
23 O 0.7256 0.2500 0.9845
24 O 0.7487 0.2500 0.2413
25 O 0.7513 0.7500 0.7413
26 O 0.7744 0.7500 0.4845
27 O 0.9748 0.7500 0.1307
28 O 0.9887 0.7500 0.6324

No. 4
For Li4VB2O6, the GGA+U geometry in the Materials Project gives the simulated PXRD pattern in this record (λ = 1.5418 Å (Cu Kα)).
Peak positions follow from Bragg's law for the DFT cell and can differ from measured ones.

Peak list (10 most intense, 2θ = 10–90°, by intensity)
(1 1 0), 6.006 Å, I 100
(1 1 1), 2.949 Å, I 95
(3 2 0), 2.285 Å, I 48
(1 3 0), 2.878 Å, I 43
(1 2 1), 2.583 Å, I 38
(2 3 1), 1.975 Å, I 37
(1 0 1), 3.110 Å, I 36
(2 2 0), 3.003 Å, I 35
(4 1 1), 1.675 Å, I 31
(3 3 0), 2.001 Å, I 30

Crystal structure
a b c (Å): 7.8819 9.2734 3.3852
angles (deg): 90.00 90.00 90.00
Element x y z (fractional)
1 Li 0.0098 0.1992 0.0000
2 Li 0.1751 0.0533 0.5000
3 Li 0.3249 0.5533 0.0000
4 Li 0.4902 0.6992 0.5000
5 Li 0.5098 0.3008 0.5000
6 Li 0.6751 0.4467 0.0000
7 Li 0.8249 0.9467 0.5000
8 Li 0.9902 0.8008 0.0000
9 V 0.0000 0.5000 0.5000
10 V 0.5000 0.0000 0.0000
11 B 0.2281 0.7965 0.5000
12 B 0.2719 0.2965 0.0000
13 B 0.7281 0.7035 0.0000
14 B 0.7719 0.2035 0.5000
15 O 0.0728 0.8624 0.5000
16 O 0.1239 0.3830 0.0000
17 O 0.2421 0.6465 0.5000
18 O 0.2579 0.1465 0.0000
19 O 0.3761 0.8830 0.5000
20 O 0.4272 0.3624 0.0000
21 O 0.5728 0.6376 0.0000
22 O 0.6239 0.1170 0.5000
23 O 0.7421 0.8535 0.0000
24 O 0.7579 0.3535 0.5000
25 O 0.8761 0.6170 0.0000
26 O 0.9272 0.1376 0.5000

No. 5
For Li3VBO5, the GGA+U geometry in the Materials Project gives the simulated PXRD pattern in this record (λ = 1.5418 Å (Cu Kα)).
Peak positions follow from Bragg's law for the DFT cell and can differ from measured ones.

Peak list (10 most intense, 2θ = 10–90°, by intensity)
(0 3 1), 3.572 Å, I 100
(1 2 0), 4.202 Å, I 96
(0 0 2), 2.375 Å, I 60
(1 5 0), 2.710 Å, I 58
(1 1 1), 3.341 Å, I 37
(2 0 0), 2.455 Å, I 36
(1 2 1), 3.147 Å, I 33
(1 5 1), 2.354 Å, I 28
(3 5 0), 1.462 Å, I 21
(1 5 2), 1.786 Å, I 21

Crystal structure
a b c (Å): 4.9092 16.2555 4.7492
angles (deg): 90.00 90.00 90.00
Element x y z (fractional)
1 Li 0.1502 0.2094 0.0000
2 Li 0.1774 0.9934 0.0111
3 Li 0.2032 0.6141 0.0136
4 Li 0.2968 0.1141 0.5136
5 Li 0.3226 0.4934 0.5111
6 Li 0.3498 0.7094 0.5000
7 Li 0.6502 0.2906 0.0000
8 Li 0.6774 0.5066 0.0111
9 Li 0.7032 0.8859 0.0136
10 Li 0.7968 0.3859 0.5136
11 Li 0.8226 0.0066 0.5111
12 Li 0.8498 0.7906 0.5000
13 V 0.1638 0.3982 0.0168
14 V 0.3362 0.8982 0.5168
15 V 0.6638 0.1018 0.0168
16 V 0.8362 0.6018 0.5168
17 B 0.1901 0.7924 0.9975
18 B 0.3099 0.2924 0.4975
19 B 0.6901 0.7076 0.9975
20 B 0.8099 0.2076 0.4975
21 O 0.1068 0.2259 0.5922
22 O 0.1840 0.6067 0.5820
23 O 0.1915 0.8016 0.6890
24 O 0.2015 0.9960 0.5896
25 O 0.2232 0.3731 0.6249
26 O 0.2768 0.8731 0.1249
27 O 0.2985 0.4960 0.0896
28 O 0.3085 0.3016 0.1890
29 O 0.3160 0.1067 0.0820
30 O 0.3932 0.7259 0.0922
31 O 0.6068 0.2741 0.5922
32 O 0.6840 0.8933 0.5820
33 O 0.6915 0.6984 0.6890
34 O 0.7015 0.5040 0.5896
35 O 0.7232 0.1269 0.6249
36 O 0.7768 0.6269 0.1249
37 O 0.7985 0.0040 0.0896
38 O 0.8085 0.1984 0.1890
39 O 0.8160 0.3933 0.0820
40 O 0.8932 0.7741 0.0922

No. 6
For LiVBO4, the GGA+U geometry in the Materials Project gives the simulated PXRD pattern in this record (λ = 1.5418 Å (Cu Kα)).
Peak positions follow from Bragg's law for the DFT cell and can differ from measured ones.

Peak list (10 most intense, 2θ = 10–90°, by intensity)
(2 0 0), 5.051 Å, I 100
(1 2 1), 2.422 Å, I 40
(1 0 1), 4.023 Å, I 38
(3 0 1), 2.671 Å, I 27
(2 2 2), 1.676 Å, I 23
(2 2 1), 2.237 Å, I 21
(3 2 1), 2.005 Å, I 18
(2 4 0), 1.453 Å, I 13
(4 0 2), 1.656 Å, I 12
(6 2 0), 1.472 Å, I 11

Crystal structure
a b c (Å): 10.1012 6.0672 4.3856
angles (deg): 90.00 90.00 90.00
Element x y z (fractional)
1 Li 0.2235 0.2500 0.0195
2 Li 0.2765 0.7500 0.5195
3 Li 0.7235 0.2500 0.4805
4 Li 0.7765 0.7500 0.9805
5 V 0.0000 0.0000 0.5000
6 V 0.0000 0.5000 0.5000
7 V 0.5000 0.0000 0.0000
8 V 0.5000 0.5000 0.0000
9 B 0.0828 0.7500 0.0933
10 B 0.4172 0.2500 0.5933
11 B 0.5828 0.7500 0.4067
12 B 0.9172 0.2500 0.9067
13 O 0.0612 0.2500 0.7528
14 O 0.0747 0.7500 0.7649
15 O 0.1422 0.5483 0.2289
16 O 0.1422 0.9517 0.2289
17 O 0.3578 0.0483 0.7289
18 O 0.3578 0.4517 0.7289
19 O 0.4253 0.2500 0.2649
20 O 0.4388 0.7500 0.2528
21 O 0.5612 0.2500 0.7472
22 O 0.5747 0.7500 0.7351
23 O 0.6422 0.5483 0.2711
24 O 0.6422 0.9517 0.2711
25 O 0.8578 0.0483 0.7711
26 O 0.8578 0.4517 0.7711
27 O 0.9253 0.2500 0.2351
28 O 0.9388 0.7500 0.2472

Number 1 is which compound? Li2VBO4

Please write out number 5 again, unchanged.
For Li3VBO5, the GGA+U geometry in the Materials Project gives the simulated PXRD pattern in this record (λ = 1.5418 Å (Cu Kα)).
Peak positions follow from Bragg's law for the DFT cell and can differ from measured ones.

Peak list (10 most intense, 2θ = 10–90°, by intensity)
(0 3 1), 3.572 Å, I 100
(1 2 0), 4.202 Å, I 96
(0 0 2), 2.375 Å, I 60
(1 5 0), 2.710 Å, I 58
(1 1 1), 3.341 Å, I 37
(2 0 0), 2.455 Å, I 36
(1 2 1), 3.147 Å, I 33
(1 5 1), 2.354 Å, I 28
(3 5 0), 1.462 Å, I 21
(1 5 2), 1.786 Å, I 21

Crystal structure
a b c (Å): 4.9092 16.2555 4.7492
angles (deg): 90.00 90.00 90.00
Element x y z (fractional)
1 Li 0.1502 0.2094 0.0000
2 Li 0.1774 0.9934 0.0111
3 Li 0.2032 0.6141 0.0136
4 Li 0.2968 0.1141 0.5136
5 Li 0.3226 0.4934 0.5111
6 Li 0.3498 0.7094 0.5000
7 Li 0.6502 0.2906 0.0000
8 Li 0.6774 0.5066 0.0111
9 Li 0.7032 0.8859 0.0136
10 Li 0.7968 0.3859 0.5136
11 Li 0.8226 0.0066 0.5111
12 Li 0.8498 0.7906 0.5000
13 V 0.1638 0.3982 0.0168
14 V 0.3362 0.8982 0.5168
15 V 0.6638 0.1018 0.0168
16 V 0.8362 0.6018 0.5168
17 B 0.1901 0.7924 0.9975
18 B 0.3099 0.2924 0.4975
19 B 0.6901 0.7076 0.9975
20 B 0.8099 0.2076 0.4975
21 O 0.1068 0.2259 0.5922
22 O 0.1840 0.6067 0.5820
23 O 0.1915 0.8016 0.6890
24 O 0.2015 0.9960 0.5896
25 O 0.2232 0.3731 0.6249
26 O 0.2768 0.8731 0.1249
27 O 0.2985 0.4960 0.0896
28 O 0.3085 0.3016 0.1890
29 O 0.3160 0.1067 0.0820
30 O 0.3932 0.7259 0.0922
31 O 0.6068 0.2741 0.5922
32 O 0.6840 0.8933 0.5820
33 O 0.6915 0.6984 0.6890
34 O 0.7015 0.5040 0.5896
35 O 0.7232 0.1269 0.6249
36 O 0.7768 0.6269 0.1249
37 O 0.7985 0.0040 0.0896
38 O 0.8085 0.1984 0.1890
39 O 0.8160 0.3933 0.0820
40 O 0.8932 0.7741 0.0922